1.
Structure and theoretical powder diffraction line list of MgSi2 (a crystal structure in the Materials Project, relaxed with GGA-PBE; Cu Kα (λ = 1.5418 Å)).
Neutral-atom scattering factors, no anomalous dispersion.

a = 5.001 Å, b = 5.001 Å, c = 11.513 Å
α = 105.50°, β = 105.50°, γ = 45.84°
Fractional coordinates of all 12 atoms:
Mg 0.000 0.000 0.000
Mg 0.000 0.000 0.500
Mg 0.325 0.325 0.824
Mg 0.675 0.675 0.176
Si 0.006 0.006 0.261
Si 0.325 0.325 0.077
Si 0.331 0.331 0.585
Si 0.344 0.344 0.334
Si 0.656 0.656 0.666
Si 0.669 0.669 0.415
Si 0.675 0.675 0.923
Si 0.994 0.994 0.739

Top 10 peaks for 2θ from 15° to 90°, in order of falling intensity:
2θ/deg  d [Å]  I/Imax
38.37  2.346  100
38.91  2.315  96
43.50  2.080  33
44.58  2.033  32
46.63  1.948  28
66.48  1.406  19
65.67  1.422  19
77.61  1.230  12
78.65  1.217  11
76.07  1.251  11


2.
Structure and theoretical powder diffraction line list of RbCuC2 (a crystal structure in the Materials Project, relaxed with GGA-PBE; Cu Kα (λ = 1.5418 Å)).
Neutral-atom scattering factors, no anomalous dispersion.

a = 4.541 Å, b = 4.541 Å, c = 4.945 Å
α = 90.00°, β = 90.00°, γ = 90.00°
Fractional coordinates of all 4 atoms:
Rb 0.000 0.000 0.000
Cu 0.500 0.500 0.500
C 0.500 0.500 0.127
C 0.500 0.500 0.873

Top 10 peaks for 2θ from 15° to 90°, in order of falling intensity:
2θ/deg  d [Å]  I/Imax
26.65  3.345  100
27.78  3.211  74
48.45  1.879  39
39.69  2.271  27
46.35  1.959  27
54.90  1.672  16
74.08  1.280  14
59.68  1.549  14
36.34  2.472  14
64.93  1.436  11


3.
Structure and theoretical powder diffraction line list of Ge3Pb5O12 (a crystal structure in the Materials Project, relaxed with GGA-PBE; Cu Kα (λ = 1.5418 Å)).
Neutral-atom scattering factors, no anomalous dispersion.

a = 10.280 Å, b = 10.280 Å, c = 7.277 Å
α = 90.00°, β = 90.00°, γ = 120.00°
Fractional coordinates of all 40 atoms:
Ge 0.018 0.624 0.250
Ge 0.376 0.394 0.250
Ge 0.394 0.018 0.750
Ge 0.606 0.982 0.250
Ge 0.624 0.606 0.750
Ge 0.982 0.376 0.750
Pb 0.014 0.266 0.250
Pb 0.252 0.986 0.250
Pb 0.266 0.252 0.750
Pb 0.333 0.667 0.507
Pb 0.333 0.667 0.993
Pb 0.667 0.333 0.007
Pb 0.667 0.333 0.493
Pb 0.734 0.748 0.250
Pb 0.748 0.014 0.750
Pb 0.986 0.734 0.750
O 0.092 0.750 0.061
O 0.092 0.750 0.439
O 0.114 0.518 0.250
O 0.180 0.497 0.750
O 0.250 0.342 0.061
O 0.250 0.342 0.439
O 0.317 0.820 0.750
O 0.342 0.092 0.561
O 0.342 0.092 0.939
O 0.404 0.886 0.250
O 0.482 0.596 0.250
O 0.497 0.317 0.250
O 0.503 0.683 0.750
O 0.518 0.404 0.750
O 0.596 0.114 0.750
O 0.658 0.908 0.061
O 0.658 0.908 0.439
O 0.683 0.180 0.250
O 0.750 0.658 0.561
O 0.750 0.658 0.939
O 0.820 0.503 0.250
O 0.886 0.482 0.750
O 0.908 0.250 0.561
O 0.908 0.250 0.939

Top 10 peaks for 2θ from 15° to 90°, in order of falling intensity:
2θ/deg  d [Å]  I/Imax
30.10  2.969  100
29.24  3.054  55
26.48  3.366  38
46.15  1.967  34
43.09  2.099  23
47.91  1.899  18
19.95  4.451  18
44.34  2.043  17
59.15  1.562  15
59.62  1.551  15


4.
Structure and theoretical powder diffraction line list of Nd2USe5 (a crystal structure in the Materials Project, relaxed with GGA-PBE; Cu Kα (λ = 1.5418 Å)).
Neutral-atom scattering factors, no anomalous dispersion.

a = 12.426 Å, b = 8.432 Å, c = 7.869 Å
α = 90.00°, β = 90.00°, γ = 90.00°
Fractional coordinates of all 32 atoms:
Nd 0.178 0.002 0.028
Nd 0.178 0.498 0.028
Nd 0.322 0.502 0.528
Nd 0.322 0.998 0.528
Nd 0.678 0.002 0.472
Nd 0.678 0.498 0.472
Nd 0.822 0.502 0.972
Nd 0.822 0.998 0.972
U 0.009 0.750 0.574
U 0.491 0.250 0.074
U 0.509 0.750 0.926
U 0.991 0.250 0.426
Se 0.000 0.250 0.043
Se 0.000 0.750 0.957
Se 0.093 0.044 0.667
Se 0.093 0.456 0.667
Se 0.186 0.750 0.332
Se 0.216 0.250 0.307
Se 0.284 0.750 0.807
Se 0.314 0.250 0.832
Se 0.407 0.544 0.167
Se 0.407 0.956 0.167
Se 0.500 0.250 0.457
Se 0.500 0.750 0.543
Se 0.593 0.044 0.833
Se 0.593 0.456 0.833
Se 0.686 0.750 0.168
Se 0.716 0.250 0.193
Se 0.784 0.750 0.693
Se 0.814 0.250 0.668
Se 0.907 0.544 0.333
Se 0.907 0.956 0.333

Top 10 peaks for 2θ from 15° to 90°, in order of falling intensity:
2θ/deg  d [Å]  I/Imax
34.36  2.610  100
35.90  2.502  62
24.28  3.665  57
43.82  2.066  48
42.89  2.108  47
25.01  3.561  44
25.53  3.489  42
31.93  2.802  35
49.76  1.833  35
38.76  2.323  30


5.
Structure and theoretical powder diffraction line list of PrCo2Ge2 (a crystal structure in the Materials Project, relaxed with GGA-PBE; Cu Kα (λ = 1.5418 Å)).
Neutral-atom scattering factors, no anomalous dispersion.

a = 5.925 Å, b = 5.925 Å, c = 5.925 Å
α = 140.17°, β = 140.17°, γ = 57.59°
Fractional coordinates of all 5 atoms:
Pr 0.000 0.000 0.000
Co 0.250 0.750 0.500
Co 0.750 0.250 0.500
Ge 0.367 0.367 0.000
Ge 0.633 0.633 0.000

Top 10 peaks for 2θ from 15° to 90°, in order of falling intensity:
2θ/deg  d [Å]  I/Imax
34.12  2.628  100
35.90  2.501  79
44.91  2.018  57
57.59  1.601  44
31.34  2.854  25
49.35  1.847  24
62.79  1.480  23
65.39  1.427  18
68.92  1.362  17
76.92  1.240  16


6.
Structure and theoretical powder diffraction line list of BiSe (a crystal structure in the Materials Project, relaxed with GGA-PBE; Cu Kα (λ = 1.5418 Å)).
Neutral-atom scattering factors, no anomalous dispersion.

a = 4.213 Å, b = 4.213 Å, c = 12.905 Å
α = 99.36°, β = 99.36°, γ = 89.80°
Fractional coordinates of all 4 atoms:
Bi 0.185 0.185 0.364
Bi 0.815 0.815 0.636
Se 0.307 0.307 0.603
Se 0.693 0.693 0.397

Top 10 peaks for 2θ from 15° to 90°, in order of falling intensity:
2θ/deg  d [Å]  I/Imax
23.64  3.763  100
21.22  4.187  77
29.94  2.984  67
30.05  2.974  67
28.42  3.140  66
30.80  2.903  61
30.90  2.894  60
42.94  2.106  51
52.30  1.749  50
41.76  2.163  48